For Ce5Ge2Rh, a GGA-PBE-relaxed structure gives the calculated powder X-ray diffraction pattern in this record (Cu Kα (weighted mean of Kα1 and Kα2)).
Lines closer than 0.1° are merged.

Structure:
Cell: 11.798 8.813 7.850 Å, 90.00 90.00 90.00°
Space group Pnma (No. 62)
Symmetry-distinct sites (fractional):
Ce 0.002 0.250 0.030 (multiplicity 4)
Ce 0.069 0.539 0.299 (multiplicity 8)
Ce 0.208 0.250 0.641 (multiplicity 4)
Ce 0.215 0.750 0.659 (multiplicity 4)
Ge 0.173 0.004 0.927 (multiplicity 8)
Rh 0.020 0.250 0.427 (multiplicity 4)

Peak list (8 most intense, 15° ≤ 2θ ≤ 90°, most intense first)
2θ = 31.5°, intensity 100, hkl 1 2 2; 2θ = 34.2°, intensity 96, hkl 2 2 2; 2θ = 32.4°, intensity 77, hkl 4 0 1; 2θ = 32.6°, intensity 70, hkl 3 2 1; 2θ = 41.0°, intensity 49, hkl 0 4 0; 2θ = 36.7°, intensity 46, hkl 4 2 0; 2θ = 27.7°, intensity 38, hkl 2 2 1; 2θ = 32.2°, intensity 37, hkl 3 0 2



For PaNi, a GGA-PBE-relaxed structure gives the calculated powder X-ray diffraction pattern in this record (Cu Kα (weighted mean of Kα1 and Kα2)).
Lines closer than 0.1° are merged.

Structure:
Cell: 3.6001 3.6001 10.7822 Å, 90.00 90.00 120.00°
Space group R-3m (No. 166, hexagonal axes)
Symmetry-distinct sites (fractional):
Pa 0.0000 0.0000 0.0000 (multiplicity 3)
Ni 0.0000 0.0000 0.5000 (multiplicity 3)

Peak list (8 most intense, 15° ≤ 2θ ≤ 90°, most intense first)
2θ = 33.2°, intensity 100, hkl 0 1 2; 2θ = 44.4°, intensity 45, hkl 1 0 4; 2θ = 50.7°, intensity 41, hkl 1 1 0; 2θ = 29.8°, intensity 39, hkl 1 0 1; 2θ = 24.8°, intensity 21, hkl 0 0 3; 2θ = 74.6°, intensity 19, hkl 1 1 6; 2θ = 62.0°, intensity 17, hkl 2 0 2; 2θ = 84.1°, intensity 14, hkl 1 2 2



For TlPdF3, a GGA-PBE-relaxed structure gives the calculated powder X-ray diffraction pattern in this record (Cu Kα (weighted mean of Kα1 and Kα2)).
Lines closer than 0.1° are merged.

Structure:
Cell: 4.351 4.351 4.351 Å, 90.00 90.00 90.00°
Space group Pm-3m (No. 221)
Symmetry-distinct sites (fractional):
Tl 0.000 0.000 0.000 (multiplicity 1)
Pd 0.500 0.500 0.500 (multiplicity 1)
F 0.000 0.500 0.500 (multiplicity 3)

Peak list (8 most intense, 15° ≤ 2θ ≤ 90°, most intense first)
2θ = 29.0°, intensity 100, hkl 1 1 0; 2θ = 51.4°, intensity 42, hkl 2 1 1; 2θ = 41.5°, intensity 31, hkl 2 0 0; 2θ = 83.0°, intensity 22, hkl 3 2 1; 2θ = 60.1°, intensity 20, hkl 2 2 0; 2θ = 68.1°, intensity 18, hkl 3 1 0; 2θ = 35.7°, intensity 11, hkl 1 1 1; 2θ = 75.7°, intensity 7, hkl 2 2 2



For ZrGe2Rh, a GGA-PBE-relaxed structure gives the calculated powder X-ray diffraction pattern in this record (Cu Kα (weighted mean of Kα1 and Kα2)).
Lines closer than 0.1° are merged.

Structure:
Cell: 9.417 10.585 8.089 Å, 90.00 90.00 90.00°
Space group Pbam (No. 55)
Symmetry-distinct sites (fractional):
Zr 0.166 0.179 0.000 (multiplicity 4)
Zr 0.171 0.452 0.241 (multiplicity 8)
Ge 0.038 0.616 0.000 (multiplicity 4)
Ge 0.052 0.610 0.500 (multiplicity 4)
Ge 0.129 0.897 0.000 (multiplicity 4)
Ge 0.139 0.901 0.500 (multiplicity 4)
Ge 0.157 0.183 0.348 (multiplicity 8)
Rh 0.000 0.000 0.253 (multiplicity 4)
Rh 0.095 0.744 0.252 (multiplicity 8)

Peak list (8 most intense, 15° ≤ 2θ ≤ 90°, most intense first)
2θ = 38.9°, intensity 100, hkl 2 3 2; 2θ = 37.2°, intensity 90, hkl 3 1 2; 2θ = 40.7°, intensity 67, hkl 0 4 2; 2θ = 38.4°, intensity 53, hkl 3 3 0; 2θ = 35.2°, intensity 42, hkl 1 4 0; 2θ = 44.8°, intensity 35, hkl 0 0 4; 2θ = 39.2°, intensity 33, hkl 4 1 0; 2θ = 64.7°, intensity 22, hkl 2 7 0



For NdSiGe, a GGA-PBE-relaxed structure gives the calculated powder X-ray diffraction pattern in this record (Cu Kα (weighted mean of Kα1 and Kα2)).
Lines closer than 0.1° are merged.

Structure:
Cell: 4.134 4.151 15.359 Å, 90.00 90.00 90.00°
Space group Imma (No. 74)
Symmetry-distinct sites (fractional):
Nd 0.000 0.250 0.121 (multiplicity 4)
Si 0.000 0.250 0.536 (multiplicity 4)
Ge 0.000 0.250 0.700 (multiplicity 4)

Peak list (8 most intense, 15° ≤ 2θ ≤ 90°, most intense first)
2θ = 32.7°, intensity 100, hkl 1 1 2; 2θ = 36.4°, intensity 50, hkl 1 0 5; 2θ = 27.7°, intensity 42, hkl 0 1 3; 2θ = 46.8°, intensity 26, hkl 0 1 7; 2θ = 58.1°, intensity 19, hkl 1 2 5; 2θ = 43.6°, intensity 17, hkl 0 2 0; 2θ = 43.8°, intensity 17, hkl 2 0 0; 2θ = 23.2°, intensity 15, hkl 0 0 4



For Zr2ReRh, a GGA-PBE-relaxed structure gives the calculated powder X-ray diffraction pattern in this record (Cu Kα (weighted mean of Kα1 and Kα2)).
Lines closer than 0.1° are merged.

Structure:
Cell: 6.620 6.620 6.620 Å, 90.00 90.00 90.00°
Space group Fm-3m (No. 225)
Symmetry-distinct sites (fractional):
Zr 0.250 0.250 0.250 (multiplicity 8)
Re 0.000 0.000 0.000 (multiplicity 4)
Rh 0.000 0.000 0.500 (multiplicity 4)

Peak list (8 most intense, 15° ≤ 2θ ≤ 90°, most intense first)
2θ = 38.5°, intensity 100, hkl 2 2 0; 2θ = 69.6°, intensity 34, hkl 4 2 2; 2θ = 55.5°, intensity 17, hkl 4 0 0; 2θ = 82.4°, intensity 11, hkl 4 4 0; 2θ = 23.3°, intensity 6, hkl 1 1 1; 2θ = 26.9°, intensity 6, hkl 2 0 0; 2θ = 45.4°, intensity 3, hkl 3 1 1; 2θ = 62.8°, intensity 2, hkl 4 2 0



For K4ZnBi2, a GGA-PBE-relaxed structure gives the calculated powder X-ray diffraction pattern in this record (Cu Kα (weighted mean of Kα1 and Kα2)).
Lines closer than 0.1° are merged.

Structure:
Cell: 6.272 10.709 17.813 Å, 90.00 90.00 90.00°
Space group C222_1 (No. 20)
Symmetry-distinct sites (fractional):
K 0.000 0.006 0.250 (multiplicity 4)
K 0.058 0.336 0.896 (multiplicity 8)
K 0.063 0.000 0.000 (multiplicity 4)
Zn 0.000 0.336 0.250 (multiplicity 4)
Bi 0.067 0.330 0.106 (multiplicity 8)

Peak list (8 most intense, 15° ≤ 2θ ≤ 90°, most intense first)
2θ = 17.1°, intensity 100, hkl 1 1 1; 2θ = 28.8°, intensity 99, hkl 1 3 0; 2θ = 17.3°, intensity 47, hkl 0 2 1; 2θ = 25.9°, intensity 42, hkl 1 1 4; 2θ = 39.1°, intensity 40, hkl 0 2 7; 2θ = 22.2°, intensity 33, hkl 1 1 3; 2θ = 28.5°, intensity 32, hkl 2 0 0; 2θ = 16.4°, intensity 31, hkl 1 1 0



For Rb2IO, a GGA-PBE-relaxed structure gives the calculated powder X-ray diffraction pattern in this record (Cu Kα (weighted mean of Kα1 and Kα2)).
Lines closer than 0.1° are merged.

Structure:
Cell: 8.074 5.549 12.983 Å, 90.00 90.00 90.00°
Space group Pnma (No. 62)
Symmetry-distinct sites (fractional):
Rb 0.107 0.250 0.230 (multiplicity 4)
Rb 0.151 0.250 0.551 (multiplicity 4)
I 0.159 0.250 0.875 (multiplicity 4)
O 0.100 0.750 0.610 (multiplicity 4)

Peak list (8 most intense, 15° ≤ 2θ ≤ 90°, most intense first)
2θ = 27.3°, intensity 100, hkl 2 1 0; 2θ = 26.1°, intensity 82, hkl 0 1 3; 2θ = 30.3°, intensity 64, hkl 2 0 3; 2θ = 44.8°, intensity 52, hkl 4 0 0; 2θ = 28.4°, intensity 50, hkl 1 1 3; 2θ = 32.3°, intensity 46, hkl 0 2 0; 2θ = 46.4°, intensity 19, hkl 1 1 6; 2θ = 57.1°, intensity 19, hkl 3 1 6